1.
Diffraction record for Cs2NaF. The X-ray diffraction stick pattern is simulated, not measured: it uses a structure optimized by DFT (GGA-PBE) and CuKα.

Cell and atoms:
Cell: 4.475 4.475 32.761 Å, 90.00 90.00 120.00°
Atoms (fractional coordinates):
Cs1 0.000 0.000 0.000
Cs2 0.000 0.000 0.228
Cs3 0.333 0.667 0.667
Cs4 0.333 0.667 0.894
Cs5 0.667 0.333 0.333
Cs6 0.667 0.333 0.561
Na1 0.000 0.000 0.781
Na2 0.333 0.667 0.447
Na3 0.667 0.333 0.114
F1 0.000 0.000 0.614
F2 0.333 0.667 0.281
F3 0.667 0.333 0.947

Top 10 peaks for 2θ from 10° to 90°, by angle:
2θ 23.11, d 3.848, rel. 53
2θ 24.45, d 3.640, rel. 39
2θ 25.43, d 3.503, rel. 92
2θ 26.73, d 3.336, rel. 100
2θ 31.79, d 2.815, rel. 46
2θ 35.89, d 2.502, rel. 19
2θ 40.31, d 2.237, rel. 42
2θ 42.80, d 2.113, rel. 32
2θ 47.71, d 1.906, rel. 38
2θ 49.03, d 1.858, rel. 18

***

2.
Diffraction record for Cs2NaOF. The X-ray diffraction stick pattern is simulated, not measured: it uses a structure optimized by DFT (GGA-PBE) and CuKα.

Cell and atoms:
Cell: 4.271 4.343 15.593 Å, 90.00 90.00 90.00°
Atoms (fractional coordinates):
Cs1 0.000 0.000 0.000
Cs2 0.000 0.000 0.271
Cs3 0.500 0.500 0.500
Cs4 0.500 0.500 0.771
Na1 0.000 0.000 0.615
Na2 0.500 0.500 0.115
O1 0.000 0.500 0.655
O2 0.500 0.000 0.155
F1 0.000 0.000 0.468
F2 0.500 0.500 0.968

Top 10 peaks for 2θ from 10° to 90°, by angle:
2θ 21.24, d 4.184, rel. 66
2θ 21.57, d 4.119, rel. 37
2θ 22.81, d 3.898, rel. 57
2θ 26.75, d 3.333, rel. 63
2θ 27.02, d 3.300, rel. 83
2θ 29.33, d 3.045, rel. 100
2θ 37.48, d 2.400, rel. 79
2θ 41.59, d 2.172, rel. 23
2θ 45.93, d 1.976, rel. 27
2θ 50.30, d 1.814, rel. 29

***

3.
Diffraction record for Cs2NaPdF6. The X-ray diffraction stick pattern is simulated, not measured: it uses a structure optimized by DFT (GGA-PBE) and CuKα.

Cell and atoms:
Cell: 6.420 6.420 5.772 Å, 90.00 90.00 120.00°
Atoms (fractional coordinates):
Cs1 0.333 0.667 0.210
Cs2 0.667 0.333 0.790
Na1 0.000 0.000 0.500
Pd1 0.000 0.000 0.000
F1 0.148 0.296 0.783
F2 0.148 0.852 0.783
F3 0.296 0.148 0.217
F4 0.704 0.852 0.783
F5 0.852 0.148 0.217
F6 0.852 0.704 0.217

Top 10 peaks for 2θ from 10° to 90°, by angle:
2θ 15.35, d 5.772, rel. 30
2θ 22.20, d 4.004, rel. 100
2θ 27.79, d 3.210, rel. 90
2θ 31.90, d 2.805, rel. 20
2θ 35.03, d 2.562, rel. 42
2θ 35.85, d 2.505, rel. 72
2θ 45.29, d 2.002, rel. 40
2θ 45.96, d 1.975, rel. 23
2θ 53.97, d 1.699, rel. 32
2θ 57.41, d 1.605, rel. 21

***

4.
Diffraction record for CsNaPu2F8. The X-ray diffraction stick pattern is simulated, not measured: it uses a structure optimized by DFT (GGA-PBE) and CuKα.

Cell and atoms:
Cell: 6.542 4.058 8.001 Å, 90.00 94.65 90.00°
Atoms (fractional coordinates):
Cs1 0.000 0.000 0.000
Na1 0.000 0.000 0.500
Pu1 0.478 0.500 0.741
Pu2 0.522 0.500 0.259
F1 0.260 0.000 0.719
F2 0.280 0.500 0.479
F3 0.308 0.500 0.995
F4 0.335 0.000 0.257
F5 0.665 0.000 0.743
F6 0.692 0.500 0.005
F7 0.720 0.500 0.521
F8 0.740 0.000 0.281

Top 10 peaks for 2θ from 10° to 90°, by angle:
2θ 13.58, d 6.521, rel. 71
2θ 21.90, d 4.058, rel. 19
2θ 25.22, d 3.531, rel. 54
2θ 25.86, d 3.446, rel. 100
2θ 27.14, d 3.285, rel. 43
2θ 27.35, d 3.260, rel. 26
2θ 31.45, d 2.844, rel. 34
2θ 40.88, d 2.207, rel. 42
2θ 43.41, d 2.084, rel. 33
2θ 51.99, d 1.759, rel. 31

***

5.
Diffraction record for Cs2RbNaF. The X-ray diffraction stick pattern is simulated, not measured: it uses a structure optimized by DFT (GGA-PBE) and CuKα.

Cell and atoms:
Cell: 6.358 6.358 6.235 Å, 90.00 90.00 90.00°
Atoms (fractional coordinates):
Cs1 0.000 0.500 0.000
Cs2 0.500 0.000 0.000
Rb1 0.000 0.000 0.500
Na1 0.500 0.500 0.500
F1 0.000 0.000 0.000

Top 10 peaks for 2θ from 10° to 90°, by angle:
2θ 14.20, d 6.235, rel. 20
2θ 24.41, d 3.647, rel. 100
2θ 28.07, d 3.179, rel. 44
2θ 28.63, d 3.118, rel. 21
2θ 40.12, d 2.248, rel. 16
2θ 40.53, d 2.226, rel. 32
2θ 47.52, d 1.913, rel. 32
2θ 48.24, d 1.887, rel. 16
2θ 50.03, d 1.823, rel. 17
2θ 64.48, d 1.445, rel. 13

***

6.
Diffraction record for Cs2NaSn2F7. The X-ray diffraction stick pattern is simulated, not measured: it uses a structure optimized by DFT (GGA-PBE) and CuKα.

Cell and atoms:
Cell: 4.476 4.476 13.370 Å, 95.57 95.57 94.55°
Atoms (fractional coordinates):
Cs1 0.210 0.210 0.385
Cs2 0.790 0.790 0.615
Na1 0.000 0.000 0.000
Sn1 0.407 0.407 0.836
Sn2 0.593 0.593 0.164
F1 0.056 0.641 0.124
F2 0.276 0.276 0.602
F3 0.359 0.944 0.876
F4 0.500 0.500 0.000
F5 0.641 0.056 0.124
F6 0.724 0.724 0.398
F7 0.944 0.359 0.876

Top 10 peaks for 2θ from 10° to 90°, by angle:
2θ 22.92, d 3.880, rel. 34
2θ 25.32, d 3.517, rel. 95
2θ 26.95, d 3.308, rel. 100
2θ 27.12, d 3.288, rel. 53
2θ 29.52, d 3.026, rel. 40
2θ 38.60, d 2.332, rel. 19
2θ 40.51, d 2.227, rel. 54
2θ 43.92, d 2.061, rel. 26
2θ 47.81, d 1.903, rel. 29
2θ 47.97, d 1.897, rel. 17

***

7.
Diffraction record for Cs2NaTlF4. The X-ray diffraction stick pattern is simulated, not measured: it uses a structure optimized by DFT (GGA-PBE) and CuKα.

Cell and atoms:
Cell: 8.028 8.028 8.074 Å, 120.14 120.14 89.21°
Atoms (fractional coordinates):
Cs1 0.000 0.000 0.000
Cs2 0.000 0.000 0.500
Cs3 0.000 0.500 0.000
Cs4 0.500 0.000 0.500
Na1 0.000 0.500 0.500
Na2 0.500 0.000 0.000
Tl1 0.500 0.500 0.000
Tl2 0.500 0.500 0.500
F1 0.228 0.292 0.510
F2 0.255 0.743 0.526
F3 0.257 0.745 0.974
F4 0.292 0.228 0.010
F5 0.708 0.772 0.990
F6 0.743 0.255 0.026
F7 0.745 0.257 0.474
F8 0.772 0.708 0.490

Top 10 peaks for 2θ from 10° to 90°, by angle:
2θ 13.48, d 6.571, rel. 20
2θ 15.72, d 5.637, rel. 16
2θ 21.97, d 4.045, rel. 15
2θ 27.13, d 3.286, rel. 100
2θ 31.27, d 2.860, rel. 67
2θ 31.75, d 2.819, rel. 31
2θ 45.16, d 2.008, rel. 45
2θ 53.12, d 1.724, rel. 17
2θ 53.24, d 1.721, rel. 17
2θ 53.79, d 1.704, rel. 17